No. 1
Structure and calculated powder diffraction line list of Rb2AlHgF6 (a GGA-PBE-relaxed structure; Cu Kα, 1.54184 Å).

Top 12 peaks for 10 to 90 degrees two-theta, sorted by position:
two_theta  intensity
17.26  28
19.96  8
28.37  100
33.40  31
40.56  34
44.38  21
50.24  38
53.52  9
58.71  20
61.68  8
66.47  21
80.85  23

Structure:
```
Rb2AlHgF6
1.0
0.0000 4.4483 4.4483
4.4483 0.0000 4.4483
4.4483 4.4483 0.0000
Rb Al Hg F
2 1 1 6
Direct
0.2500 0.2500 0.2500
0.7500 0.7500 0.7500
0.0000 0.0000 0.0000
0.5000 0.5000 0.5000
0.2072 0.2072 0.7928
0.2072 0.7928 0.2072
0.2072 0.7928 0.7928
0.7928 0.2072 0.2072
0.7928 0.2072 0.7928
0.7928 0.7928 0.2072
```



No. 2
Structure and calculated powder diffraction line list of HoSn3 (a GGA-PBE-relaxed structure; Cu Kα, 1.54184 Å).

Top 10 peaks for 10 to 90 degrees two-theta, sorted by position:
two_theta  intensity
18.84  2
26.76  2
32.93  100
38.21  50
42.93  1
47.26  1
55.14  36
65.74  43
69.07  12
81.78  6

Structure:
```
HoSn3
1.0
4.7109 0.0000 0.0000
0.0000 4.7109 0.0000
0.0000 0.0000 4.7109
Ho Sn
1 3
Direct
0.0000 0.0000 0.0000
0.0000 0.5000 0.5000
0.5000 0.0000 0.5000
0.5000 0.5000 0.0000
```



No. 3
Structure and calculated powder diffraction line list of MgAg4As4S4 (a GGA-PBE-relaxed structure; Cu Kα, 1.54184 Å).

Top 12 peaks for 10 to 90 degrees two-theta, sorted by position:
two_theta  intensity
25.58  100
25.85  83
27.06  34
27.27  37
28.91  73
32.18  39
35.55  25
39.52  30
39.73  31
40.38  73
42.32  53
42.66  45

Structure:
```
MgAg4As4S4
1.0
4.4683 0.0000 0.0000
0.0077 5.5975 0.0000
0.2081 1.3984 12.0321
Mg Ag As S
1 4 4 4
Direct
0.0000 0.0000 0.0000
0.0026 0.6068 0.6364
0.0497 0.1243 0.2316
0.5081 0.1012 0.7983
0.5185 0.7644 0.3202
0.0048 0.2749 0.5035
0.4988 0.6804 0.9571
0.5077 0.0669 0.4720
0.9975 0.4885 0.0180
0.0052 0.3246 0.8451
0.0120 0.4916 0.3305
0.4975 0.9285 0.1046
0.5021 0.8393 0.6416
```



No. 4
Structure and calculated powder diffraction line list of Nb12Sn3Sb (a GGA-PBE-relaxed structure; Cu Kα, 1.54184 Å).

Top 12 peaks for 10 to 90 degrees two-theta, sorted by position:
two_theta  intensity
33.65  45
37.77  100
41.53  99
62.89  15
62.98  7
65.56  34
65.63  17
70.83  12
80.74  10
82.99  6
83.16  13
85.52  13

Structure:
```
Nb12Sn3Sb
1.0
5.3217 0.0000 0.0000
0.0000 5.3353 0.0000
0.0000 0.0000 10.6423
Nb Sn Sb
12 3 1
Direct
0.0000 0.0000 0.1215
0.0000 0.0000 0.3775
0.0000 0.0000 0.6225
0.0000 0.0000 0.8785
0.2452 0.5000 0.2507
0.2452 0.5000 0.7493
0.5000 0.2538 0.5000
0.5000 0.2552 0.0000
0.5000 0.7448 0.0000
0.5000 0.7462 0.5000
0.7548 0.5000 0.2507
0.7548 0.5000 0.7493
0.0000 0.5000 0.0000
0.5000 0.0000 0.2501
0.5000 0.0000 0.7499
0.0000 0.5000 0.5000
```



No. 5
Structure and calculated powder diffraction line list of NaSbP2S6 (a GGA-PBE-relaxed structure; Cu Kα, 1.54184 Å).

Top 12 peaks for 10 to 90 degrees two-theta, sorted by position:
two_theta  intensity
15.79  89
17.65  98
20.32  78
24.91  94
30.30  54
31.30  60
32.27  65
32.52  87
33.95  100
35.77  43
36.55  61
37.55  87

Structure:
```
NaSbP2S6
1.0
6.6430 0.0000 0.0000
0.0000 7.7028 0.0000
-0.5676 0.0000 9.5870
Na Sb P S
2 2 4 12
Direct
0.1973 0.0000 0.0073
0.8027 0.5000 0.9927
0.3123 0.7175 0.4838
0.6877 0.2175 0.5162
0.1899 0.3007 0.3187
0.3057 0.5162 0.1858
0.6943 0.0162 0.8142
0.8101 0.8007 0.6813
0.0679 0.7070 0.7691
0.0923 0.7023 0.2000
0.1577 0.4151 0.5135
0.3653 0.4171 0.0037
0.4088 0.1091 0.3270
0.4451 0.0936 0.6885
0.5549 0.5936 0.3115
0.5912 0.6091 0.6730
0.6347 0.9171 0.9963
0.8423 0.9151 0.4865
0.9077 0.2023 0.8000
0.9321 0.2070 0.2309
```



No. 6
Structure and calculated powder diffraction line list of ZrP2O8 (a GGA-PBE-relaxed structure; Cu Kα, 1.54184 Å).

Top 12 peaks for 10 to 90 degrees two-theta, sorted by position:
two_theta  intensity
15.43  100
19.08  21
19.53  56
22.41  58
24.51  21
29.50  86
31.15  25
32.64  16
45.74  16
48.56  18
49.15  17
56.35  23

Structure:
```
ZrP2O8
1.0
-5.7423 5.7423 5.4866
5.7423 -5.7423 5.4866
5.7423 5.7423 -5.4866
Zr P O
4 8 32
Direct
0.0000 0.0000 0.0000
0.2500 0.7500 0.5000
0.5000 0.5000 0.0000
0.7500 0.2500 0.5000
0.1918 0.4530 0.6550
0.2030 0.0480 0.7613
0.2868 0.4418 0.2387
0.2980 0.9530 0.2613
0.6918 0.0368 0.7387
0.7030 0.9418 0.1550
0.7868 0.5480 0.8450
0.7980 0.5368 0.3450
0.0131 0.3859 0.6338
0.0718 0.0432 0.6185
0.1293 0.2631 0.1272
0.1359 0.0021 0.8728
0.1797 0.0106 0.1928
0.2032 0.3218 0.5286
0.2369 0.5678 0.3072
0.2397 0.5994 0.6160
0.2521 0.8859 0.3728
0.2606 0.9297 0.6928
0.2932 0.8218 0.1185
0.3178 0.5106 0.8310
0.3494 0.2334 0.8597
0.3737 0.4897 0.1403
0.4247 0.4532 0.3815
0.4834 0.0994 0.3597
0.5131 0.8793 0.6272
0.5718 0.9532 0.0286
0.6293 0.5021 0.8662
0.6359 0.7631 0.1338
0.6797 0.4869 0.1690
0.7032 0.1747 0.8815
0.7369 0.4297 0.6690
0.7397 0.1237 0.6403
0.7521 0.3793 0.3662
0.7606 0.0678 0.3310
0.7932 0.6747 0.4714
0.8178 0.9869 0.8072
0.8494 0.9897 0.1160
0.8737 0.7334 0.8840
0.9247 0.5432 0.9714
0.9834 0.6237 0.3840
```



No. 7
Structure and calculated powder diffraction line list of Na2SbAu (a GGA-PBE-relaxed structure; Cu Kα, 1.54184 Å).

Top 12 peaks for 10 to 90 degrees two-theta, sorted by position:
two_theta  intensity
15.00  88
18.90  100
21.23  36
30.89  26
33.84  81
34.48  27
36.77  46
38.34  20
38.52  42
43.24  48
43.71  26
55.48  24

Structure:
```
Na2SbAu
1.0
4.6959 -3.7975 0.0000
4.6959 3.7975 0.0000
0.0000 0.0000 5.9294
Na Sb Au
4 2 2
Direct
0.0155 0.3436 0.2500
0.3436 0.0155 0.7500
0.6564 0.9845 0.2500
0.9845 0.6564 0.7500
0.2019 0.7981 0.2500
0.7981 0.2019 0.7500
0.5000 0.5000 0.0000
0.5000 0.5000 0.5000
```